[1]
Starting from the PBE geometry in Alexandria, the powder diffractogram of YHo5Mg6 was calculated for Cu Kα (λ = 1.5418 Å).
Intensities are scaled so that the largest is 100.

Largest 10 diffraction maxima, by angle, 2θ from 15° to 90°:
- 23.48°, I 62
- 23.64°, I 30
- 33.44°, I 50
- 33.56°, I 100
- 41.36°, I 28
- 48.02°, I 18
- 54.14°, I 20
- 54.44°, I 13
- 59.85°, I 38
- 60.08°, I 19

Unit cell a=5.360 b=7.527 c=8.470 alpha=90.00 beta=108.39 gamma=90.00
Fractional positions:
Y (0.000, 0.000, 0.000)
Ho (0.000, 0.500, 0.000)
Ho (0.332, 0.000, 0.666)
Ho (0.333, 0.500, 0.667)
Ho (0.667, 0.500, 0.333)
Ho (0.668, 0.000, 0.334)
Mg (0.168, 0.251, 0.334)
Mg (0.168, 0.749, 0.334)
Mg (0.500, 0.250, 0.000)
Mg (0.500, 0.750, 0.000)
Mg (0.832, 0.251, 0.666)
Mg (0.832, 0.749, 0.666)

=====

[2]
Starting from the PBE geometry in Alexandria, the powder diffractogram of SmY5Er3 was calculated for Cu Kα (λ = 1.5418 Å).
Intensities are scaled so that the largest is 100.

Largest 10 diffraction maxima, by angle, 2θ from 15° to 90°:
- 23.07°, I 15
- 28.86°, I 68
- 29.16°, I 48
- 31.06°, I 100
- 32.69°, I 19
- 37.27°, I 22
- 37.91°, I 28
- 43.43°, I 34
- 47.15°, I 16
- 52.91°, I 19

Unit cell a=9.847 b=9.847 c=9.847 alpha=127.81 beta=127.81 gamma=76.93
Fractional positions:
Sm (0.250, 0.750, 0.500)
Sm (0.750, 0.250, 0.500)
Y (0.000, 0.000, 0.000)
Y (0.066, 0.566, 0.905)
Y (0.162, 0.066, 0.500)
Y (0.338, 0.838, 0.905)
Y (0.434, 0.338, 0.500)
Y (0.500, 0.500, 0.000)
Y (0.566, 0.662, 0.500)
Y (0.662, 0.162, 0.095)
Y (0.838, 0.934, 0.500)
Y (0.934, 0.434, 0.095)
Er (0.117, 0.383, 0.500)
Er (0.250, 0.250, 0.000)
Er (0.383, 0.883, 0.265)
Er (0.617, 0.117, 0.735)
Er (0.750, 0.750, 0.000)
Er (0.883, 0.617, 0.500)

=====

[3]
Starting from the PBE geometry in Alexandria, the powder diffractogram of TaReI3 was calculated for Cu Kα (λ = 1.5418 Å).
Intensities are scaled so that the largest is 100.

Largest 10 diffraction maxima, by angle, 2θ from 15° to 90°:
- 15.72°, I 15
- 22.30°, I 49
- 27.40°, I 53
- 31.75°, I 100
- 39.14°, I 24
- 45.51°, I 74
- 53.94°, I 23
- 56.55°, I 26
- 75.41°, I 33
- 84.12°, I 25

Unit cell a=5.637 b=5.637 c=5.637 alpha=90.00 beta=90.00 gamma=90.00
Fractional positions:
Ta (0.000, 0.000, 0.000)
Re (0.500, 0.500, 0.500)
I (0.000, 0.000, 0.500)
I (0.000, 0.500, 0.000)
I (0.500, 0.000, 0.000)